# Cu3Ge
Computed powder diffraction line list, a wavelength of 1.5418 Å. Input: a structure optimized by DFT (PBE).
No peak broadening, texture or thermal motion is included.

Principal peaks in the range 2θ = 15–90°, most intense first:
2θ/deg, d_spacing, I (rel.)
45.04, 2.013, 100
42.93, 2.107, 26
39.32, 2.291, 25
86.96, 1.120, 18
80.15, 1.197, 16
71.29, 1.323, 15
59.62, 1.551, 14
88.43, 1.106, 13

Structural model:
Cell: 5.291 5.291 4.214 Å, 90.00 90.00 120.00°
Atoms (fractional coordinates):
Cu (0.165, 0.330, 0.250)
Cu (0.165, 0.835, 0.250)
Cu (0.330, 0.165, 0.750)
Cu (0.670, 0.835, 0.250)
Cu (0.835, 0.165, 0.750)
Cu (0.835, 0.670, 0.750)
Ge (0.333, 0.667, 0.750)
Ge (0.667, 0.333, 0.250)

# Sr4LiSm2Ta2O12
Computed powder diffraction line list, a wavelength of 1.5418 Å. Input: a structure optimized by DFT (PBE).
No peak broadening, texture or thermal motion is included.

Principal peaks in the range 2θ = 15–90°, most intense first:
2θ/deg, d_spacing, I (rel.)
29.76, 3.002, 100
29.59, 3.019, 51
29.99, 2.979, 50
30.11, 2.968, 50
29.32, 3.046, 47
21.01, 4.228, 37
42.70, 2.118, 27
42.22, 2.140, 25

Structural model:
Cell: 5.937 6.092 8.471 Å, 90.09 90.50 90.79°
Atoms (fractional coordinates):
Sr (0.000, 0.000, 0.000)
Sr (0.019, 0.140, 0.496)
Sr (0.527, 0.491, 0.000)
Sr (0.550, 0.558, 0.504)
Li (0.153, 0.749, 0.498)
Sm (0.019, 0.540, 0.763)
Sm (0.514, 0.038, 0.248)
Ta (0.019, 0.545, 0.239)
Ta (0.515, 0.040, 0.746)
O (0.115, 0.581, 0.017)
O (0.191, 0.835, 0.298)
O (0.235, 0.852, 0.690)
O (0.298, 0.363, 0.289)
O (0.329, 0.318, 0.701)
O (0.427, 0.066, 0.977)
O (0.606, 0.022, 0.515)
O (0.701, 0.768, 0.794)
O (0.740, 0.730, 0.203)
O (0.789, 0.237, 0.791)
O (0.830, 0.273, 0.203)
O (0.950, 0.529, 0.484)

# BaPr
Computed powder diffraction line list, a wavelength of 1.5418 Å. Input: a structure optimized by DFT (PBE).
No peak broadening, texture or thermal motion is included.

Principal peaks in the range 2θ = 15–90°, most intense first:
2θ/deg, d_spacing, I (rel.)
29.11, 3.067, 100
27.11, 3.290, 27
53.59, 1.710, 24
49.16, 1.853, 23
25.69, 3.467, 23
45.30, 2.002, 20
54.76, 1.676, 17
37.69, 2.386, 17

Structural model:
Cell: 4.004 4.004 6.579 Å, 90.00 90.00 120.00°
Atoms (fractional coordinates):
Ba (0.000, 0.000, 0.000)
Pr (0.667, 0.333, 0.500)

# CsTiS2
Computed powder diffraction line list, a wavelength of 1.5418 Å. Input: a structure optimized by DFT (PBE).
No peak broadening, texture or thermal motion is included.

Principal peaks in the range 2θ = 15–90°, most intense first:
2θ/deg, d_spacing, I (rel.)
33.48, 2.676, 100
27.87, 3.201, 58
31.48, 2.842, 49
48.83, 1.865, 42
22.32, 3.982, 42
28.63, 3.118, 41
38.36, 2.346, 33
54.31, 1.689, 22

Structural model:
Cell: 8.251 8.251 8.251 Å, 26.13 26.13 26.13°
Atoms (fractional coordinates):
Cs (0.000, 0.000, 0.000)
Ti (0.831, 0.831, 0.831)
S (0.221, 0.221, 0.221)
S (0.441, 0.441, 0.441)

# Be46Ir7
Computed powder diffraction line list, a wavelength of 1.5418 Å. Input: a structure optimized by DFT (PBE).
No peak broadening, texture or thermal motion is included.

Principal peaks in the range 2θ = 15–90°, most intense first:
2θ/deg, d_spacing, I (rel.)
24.61, 3.617, 100
29.55, 3.023, 95
34.83, 2.576, 69
48.40, 1.881, 52
50.27, 1.815, 50
25.93, 3.436, 45
43.33, 2.088, 44
24.26, 3.669, 40

Structural model:
Cell: 4.177 4.177 33.024 Å, 90.00 90.00 120.00°
Atoms (fractional coordinates):
Be (0.000, 0.000, 0.000)
Be (0.000, 0.000, 0.083)
Be (0.000, 0.000, 0.333)
Be (0.000, 0.000, 0.416)
Be (0.000, 0.000, 0.667)
Be (0.000, 0.000, 0.751)
Be (0.164, 0.328, 0.479)
Be (0.164, 0.328, 0.605)
Be (0.164, 0.836, 0.479)
Be (0.164, 0.836, 0.605)
Be (0.165, 0.330, 0.814)
Be (0.165, 0.331, 0.936)
Be (0.165, 0.835, 0.814)
Be (0.165, 0.835, 0.936)
Be (0.166, 0.332, 0.148)
Be (0.166, 0.332, 0.269)
Be (0.166, 0.834, 0.148)
Be (0.166, 0.834, 0.269)
Be (0.333, 0.667, 0.094)
Be (0.333, 0.667, 0.208)
Be (0.333, 0.667, 0.322)
Be (0.333, 0.667, 0.427)
Be (0.333, 0.667, 0.656)
Be (0.333, 0.667, 0.761)
Be (0.333, 0.667, 0.989)
Be (0.503, 0.007, 0.042)
Be (0.503, 0.007, 0.375)
Be (0.503, 0.007, 0.708)
Be (0.503, 0.497, 0.042)
Be (0.503, 0.497, 0.375)
Be (0.503, 0.497, 0.708)
Be (0.667, 0.333, 0.176)
Be (0.667, 0.333, 0.240)
Be (0.667, 0.333, 0.510)
Be (0.667, 0.333, 0.573)
Be (0.667, 0.333, 0.842)
Be (0.667, 0.333, 0.908)
Be (0.668, 0.834, 0.148)
Be (0.668, 0.834, 0.269)
Be (0.669, 0.835, 0.936)
Be (0.670, 0.835, 0.814)
Be (0.672, 0.836, 0.479)
Be (0.672, 0.836, 0.605)
Be (0.993, 0.497, 0.042)
Be (0.993, 0.497, 0.375)
Be (0.993, 0.497, 0.708)
Ir (0.000, 0.000, 0.542)
Ir (0.667, 0.333, 0.105)
Ir (0.667, 0.333, 0.311)
Ir (0.667, 0.333, 0.438)
Ir (0.667, 0.333, 0.645)
Ir (0.667, 0.333, 0.771)
Ir (0.667, 0.333, 0.978)

# HfMg6Ti
Computed powder diffraction line list, a wavelength of 1.5418 Å. Input: a structure optimized by DFT (PBE).
No peak broadening, texture or thermal motion is included.

Principal peaks in the range 2θ = 15–90°, most intense first:
2θ/deg, d_spacing, I (rel.)
16.21, 5.468, 100
37.54, 2.396, 87
36.83, 2.440, 60
24.19, 3.679, 48
15.82, 5.601, 42
32.75, 2.734, 39
36.13, 2.486, 35
33.24, 2.695, 35

Structural model:
Cell: 4.972 6.418 6.418 Å, 58.44 90.00 90.00°
Atoms (fractional coordinates):
Hf (0.000, 0.000, 0.000)
Mg (0.000, 0.482, 0.999)
Mg (0.000, 0.487, 0.487)
Mg (0.000, 0.999, 0.482)
Mg (0.500, 0.144, 0.657)
Mg (0.500, 0.652, 0.652)
Mg (0.500, 0.657, 0.144)
Ti (0.500, 0.139, 0.139)

# ScClO
Computed powder diffraction line list, a wavelength of 1.5418 Å. Input: a structure optimized by DFT (PBE).
No peak broadening, texture or thermal motion is included.

Principal peaks in the range 2θ = 15–90°, most intense first:
2θ/deg, d_spacing, I (rel.)
33.73, 2.657, 100
35.55, 2.525, 32
62.68, 1.482, 27
42.42, 2.131, 26
51.15, 1.786, 23
59.12, 1.563, 14
52.67, 1.738, 9
69.87, 1.346, 7

Structural model:
Cell: 3.571 3.571 7.956 Å, 90.00 90.00 90.00°
Atoms (fractional coordinates):
Sc (0.250, 0.250, 0.135)
Sc (0.750, 0.750, 0.865)
Cl (0.250, 0.250, 0.677)
Cl (0.750, 0.750, 0.323)
O (0.250, 0.750, 0.000)
O (0.750, 0.250, 0.000)